Computed X-ray powder pattern
Compound: DyScCl6
Radiation: λ = 1.5418 Å (Cu Kα)
Structure: a DFT-relaxed cell (GGA-PBE, OQMD)

Principal peaks in the range 2θ from 10° to 90°, by intensity:
d [Å]  I (rel.)
2.672  100
6.005  72
5.468  52
3.264  40
4.854  38
5.753  28
4.154  25
1.865  23
1.915  22
3.538  16

Cell and atoms:
Cell: 6.633 11.505 6.410 Å, 90.00 110.46 90.00°
Space group C2 (No. 5)
Symmetry-distinct sites (fractional):
1 Dy 0.000 0.000 0.000 [2 per cell]
2 Sc 0.000 0.331 0.000 [2 per cell]
3 Cl 0.221 0.174 0.241 [4 per cell]
4 Cl 0.230 0.340 0.764 [4 per cell]
5 Cl 0.246 0.482 0.239 [4 per cell]

---

Computed X-ray powder pattern
Compound: DyYCl6
Radiation: λ = 1.5418 Å (Cu Kα)
Structure: a DFT-relaxed cell (GGA-PBE, OQMD)

Principal peaks in the range 2θ from 10° to 90°, by intensity:
d [Å]  I (rel.)
2.733  100
6.011  74
3.375  50
5.643  46
4.968  31
1.887  28
5.964  25
1.882  24
1.982  24
4.234  18

Cell and atoms:
Cell: 6.858 11.928 6.436 Å, 90.00 110.93 90.00°
Space group C2 (No. 5)
Symmetry-distinct sites (fractional):
1 Dy 0.000 0.000 0.000 [2 per cell]
2 Y 0.000 0.669 0.000 [2 per cell]
3 Cl 0.223 0.835 0.246 [4 per cell]
4 Cl 0.241 0.013 0.758 [4 per cell]
5 Cl 0.242 0.656 0.758 [4 per cell]